Structure and theoretical PXRD pattern of Nb21S8 (a DFT-relaxed cell (GGA-PBE, the Materials Project); Cu Kα X-rays).

```
data_Nb21S8
_chemical_formula_sum 'Nb42 S16'
_symmetry_space_group_name_H-M 'I 4/m'
_symmetry_Int_Tables_number 87
_symmetry_space_group_name_Hall '-I 4'
_cell_length_a 16.9367
_cell_length_b 16.9367
_cell_length_c 3.3794
_cell_angle_alpha 90.00
_cell_angle_beta 90.00
_cell_angle_gamma 90.00
loop_
_atom_site_label
_atom_site_fract_x
_atom_site_fract_y
_atom_site_fract_z
_atom_site_occupancy
Nb1 0.0000 0.0000 0.0000 1
Nb2 0.0199 0.7219 0.0000 1
Nb3 0.0487 0.1351 0.5000 1
Nb4 0.0498 0.5812 0.5000 1
Nb5 0.1160 0.3146 0.5000 1
Nb6 0.1918 0.1977 0.0000 1
S1 0.0639 0.8626 0.0000 1
S2 0.1356 0.7129 0.5000 1
```

Main lines, in order of falling intensity (15 to 90 degrees two-theta):
Position (°2θ)	intensity	index
37.58	100	3 4 1
39.13	67	2 5 1
40.57	28	7 3 0
67.83	19	10 5 1
33.46	18	6 2 0
66.76	17	11 0 1
54.29	16	0 0 2
32.64	13	3 2 1
34.36	13	4 1 1
30.79	11	5 3 0
69.92	11	7 3 2
44.09	9	2 8 0

---

Structure and theoretical PXRD pattern of KLiPH2O4F (a DFT-relaxed cell (GGA-PBE, the Materials Project); Cu Kα X-rays).

```
data_KLiPH2O4F
_chemical_formula_sum 'K4 Li4 P4 H8 O16 F4'
_symmetry_space_group_name_H-M 'P 1 21/c 1'
_symmetry_Int_Tables_number 14
_symmetry_space_group_name_Hall '-P 2ybc'
_cell_length_a 5.4900
_cell_length_b 7.5989
_cell_length_c 12.5699
_cell_angle_alpha 90.00
_cell_angle_beta 108.06
_cell_angle_gamma 90.00
loop_
_atom_site_label
_atom_site_fract_x
_atom_site_fract_y
_atom_site_fract_z
_atom_site_occupancy
K1 0.1764 0.2254 0.3465 1
Li1 0.3186 0.0414 0.6364 1
P1 0.2378 0.7261 0.9472 1
H1 0.3469 0.5830 0.6618 1
H2 0.4595 0.1078 0.1584 1
O1 0.0238 0.6239 0.8642 1
O2 0.2608 0.7008 0.0708 1
O3 0.4385 0.0137 0.2102 1
O4 0.4961 0.7179 0.9246 1
F1 0.1547 0.5687 0.4230 1
```

Main lines, in order of falling intensity (15 to 90 degrees two-theta):
Position (°2θ)	intensity	index
30.19	100	1 2 -2
28.50	99	1 1 2
23.41	77	0 2 0
32.92	75	2 0 -2
22.16	64	1 1 -2
18.79	61	1 0 -2
32.19	56	0 1 4
25.92	39	1 0 2
35.03	39	2 1 -2
36.25	37	0 3 1
34.37	37	1 1 3
27.83	33	0 2 2

---

Structure and theoretical PXRD pattern of Mg6SiW (a DFT-relaxed cell (GGA-PBE, the Materials Project); Cu Kα X-rays).

```
data_Mg6SiW
_chemical_formula_sum 'Mg12 Si2 W2'
_symmetry_space_group_name_H-M 'A m m 2'
_symmetry_Int_Tables_number 38
_symmetry_space_group_name_Hall 'A 2 -2'
_cell_length_a 5.0543
_cell_length_b 5.6184
_cell_length_c 10.6958
_cell_angle_alpha 90.00
_cell_angle_beta 90.00
_cell_angle_gamma 90.00
loop_
_atom_site_label
_atom_site_fract_x
_atom_site_fract_y
_atom_site_fract_z
_atom_site_occupancy
Mg1 0.0000 0.0000 0.0000 1
Mg2 0.0000 0.0000 0.4979 1
Mg3 0.0000 0.2422 0.2576 1
Mg4 0.5000 0.2493 0.5994 1
Si1 0.5000 0.0000 0.8466 1
W1 0.5000 0.0000 0.3515 1
```

Main lines, in order of falling intensity (15 to 90 degrees two-theta):
Position (°2θ)	intensity	index
40.42	100	1 2 2
17.83	93	0 1 1
25.12	79	1 1 1
38.07	73	1 0 4
16.58	64	0 0 2
17.55	52	1 0 0
35.52	49	2 0 0
24.23	46	1 0 2
36.12	43	0 2 2
34.68	37	1 1 3
51.56	31	2 2 2
73.20	28	2 2 6

---

Structure and theoretical PXRD pattern of KRuF6 (a DFT-relaxed cell (GGA-PBE, the Materials Project); Cu Kα X-rays).

```
data_KRuF6
_chemical_formula_sum 'K3 Ru3 F18'
_symmetry_space_group_name_H-M 'R -3 m'
_symmetry_Int_Tables_number 166
_symmetry_space_group_name_Hall '-R 3 2"'
_cell_length_a 7.7270
_cell_length_b 7.7270
_cell_length_c 7.5621
_cell_angle_alpha 90.00
_cell_angle_beta 90.00
_cell_angle_gamma 120.00
loop_
_atom_site_label
_atom_site_fract_x
_atom_site_fract_y
_atom_site_fract_z
_atom_site_occupancy
K1 0.0000 0.0000 0.0000 1
Ru1 0.0000 0.0000 0.5000 1
F1 0.1045 0.5523 0.3154 1
```

Main lines, in order of falling intensity (15 to 90 degrees two-theta):
Position (°2θ)	intensity	index
23.02	100	1 1 0
17.70	78	1 0 1
43.03	78	1 2 2
27.09	63	0 1 2
29.19	28	0 2 1
61.21	25	2 1 4
47.04	16	2 2 0
54.97	12	0 3 3
35.84	12	2 0 2
63.73	11	4 1 0
60.52	11	0 4 2
50.64	11	1 3 1